Diffraction record for LiCrP3O9. The XRD peak list is computed, not measured: it uses a DFT-relaxed cell (PBE+U, Alexandria) and CuKα.
Lines closer than 0.1° are merged.

Crystal structure
a = 6.581 Å, b = 6.957 Å, c = 7.342 Å
α = 81.25°, β = 87.89°, γ = 87.40°
Space group P-1 (No. 2)
Asymmetric unit:
Li (0.142, 0.055, 0.170)
Cr (0.159, 0.581, 0.141)
P (0.142, 0.730, 0.548)
P (0.333, 0.389, 0.774)
P (0.353, 0.954, 0.791)
O (0.046, 0.271, 0.331)
O (0.124, 0.770, 0.340)
O (0.161, 0.408, 0.920)
O (0.179, 0.905, 0.929)
O (0.265, 0.521, 0.586)
O (0.302, 0.879, 0.598)
O (0.332, 0.185, 0.709)
O (0.434, 0.103, 0.163)
O (0.463, 0.556, 0.177)

The 10 most intense peaks (2θ from 10° to 80°), by angle:
- 12.89°, I 36.2, (0 1 0)
- 18.49°, I 34.8, (1 0 -1)
- 19.07°, I 68.7, (1 -1 0)
- 28.47°, I 37.3, (1 0 -2)
- 28.79°, I 51.8, (1 1 2)
- 29.51°, I 35.6, (2 0 1)
- 29.65°, I 41.6, (2 1 0)
- 30.20°, I 32.4, (2 0 -1)
- 30.43°, I 100.0, (0 2 -1)
- 33.11°, I 48.2, (0 2 2)